(1)
This entry pairs a crystal structure of Na4VHO5 with its computed X-ray diffraction stick pattern. Radiation: copper Kα. Structure: a crystal structure in Alexandria, relaxed with PBE+U.
Neutral-atom scattering factors, no anomalous dispersion.

Top 6 peaks for 10° ≤ 2θ ≤ 90°, low angle first:
hkl 1 1 1, 2θ = 18.6°, d 4.781, I = 38.3; hkl 2 1 0, 2θ = 22.8°, d 3.899, I = 32.7; hkl 2 2 1, 2θ = 32.6°, d 2.746, I = 41.3; hkl 1 2 2, 2θ = 33.4°, d 2.683, I = 100.0; hkl 4 0 0, 2θ = 39.6°, d 2.277, I = 38.1; hkl 4 0 2, 2θ = 45.3°, d 2.002, I = 36.7

Structural model:
```
data_Na4VHO5
_chemical_formula_sum 'Na16 V4 H4 O20'
_cell_length_a 9.1066
_cell_length_b 7.5460
_cell_length_c 8.4132
_cell_angle_alpha 90.00
_cell_angle_beta 90.00
_cell_angle_gamma 90.00
_symmetry_space_group_name_H-M 'P n m a'
_symmetry_Int_Tables_number 62
_symmetry_space_group_name_Hall '-P 2ac 2n'
loop_
_atom_site_label
_atom_site_fract_x
_atom_site_fract_y
_atom_site_fract_z
Na1 0.0000 0.0000 0.0000
Na2 0.1272 0.2500 0.2580
Na3 0.1285 0.5135 0.6526
V1 0.1372 0.7500 0.3501
H1 0.1671 0.7500 0.9458
O1 0.0164 0.2500 0.5228
O2 0.1177 0.7500 0.8430
O3 0.1297 0.5597 0.2325
O4 0.2069 0.2500 0.9688
```

=====

(2)
This entry pairs a crystal structure of Na3V3H6O7 with its computed X-ray diffraction stick pattern. Radiation: copper Kα. Structure: a crystal structure in Alexandria, relaxed with PBE+U.
Neutral-atom scattering factors, no anomalous dispersion.

Top 6 peaks for 10° ≤ 2θ ≤ 90°, low angle first:
hkl 0 0 1, 2θ = 11.3°, d 7.848, I = 68.5; hkl 1 0 0, 2θ = 16.6°, d 5.338, I = 75.1; hkl 1 0 -1, 2θ = 17.6°, d 5.036, I = 100.0; hkl -1 1 1, 2θ = 22.5°, d 3.959, I = 47.5; hkl 1 1 -1, 2θ = 23.7°, d 3.755, I = 37.5; hkl 1 0 2, 2θ = 31.5°, d 2.841, I = 39.5

Structural model:
```
data_Na3V3H6O7
_chemical_formula_sum 'Na3 V3 H6 O7'
_cell_length_a 5.6278
_cell_length_b 6.4083
_cell_length_c 8.3764
_cell_angle_alpha 104.65
_cell_angle_beta 100.67
_cell_angle_gamma 101.66
_symmetry_space_group_name_H-M 'P 1'
_symmetry_Int_Tables_number 1
_symmetry_space_group_name_Hall 'P 1'
loop_
_atom_site_label
_atom_site_fract_x
_atom_site_fract_y
_atom_site_fract_z
Na1 0.0000 0.0000 0.0000
Na2 0.1511 0.3688 0.3986
Na3 0.6499 0.2915 0.7311
V1 0.5359 0.8681 0.2395
V2 0.6325 0.3616 0.2195
V3 0.7343 0.7146 0.5373
H1 0.1381 0.2466 0.7753
H2 0.1580 0.4543 0.9363
H3 0.2396 0.0381 0.5472
H4 0.3899 0.7685 0.9205
H5 0.9058 0.0927 0.5331
H6 0.9774 0.6611 0.8138
O1 0.0685 0.2919 0.8792
O2 0.2234 0.1882 0.5973
O3 0.2823 0.7446 0.9967
O4 0.4708 0.5795 0.3090
O5 0.7231 0.0103 0.5084
O6 0.7518 0.1147 0.1795
O7 0.8094 0.6737 0.7633
```

=====

(3)
This entry pairs a crystal structure of Na2H2WO6 with its computed X-ray diffraction stick pattern. Radiation: copper Kα. Structure: a crystal structure in Alexandria, relaxed with PBE+U.
Neutral-atom scattering factors, no anomalous dispersion.

Top 6 peaks for 10° ≤ 2θ ≤ 90°, low angle first:
hkl 0 0 1, 2θ = 16.7°, d 5.302, I = 36.7; hkl 1 0 0, 2θ = 20.1°, d 4.411, I = 65.6; hkl 1 0 1, 2θ = 26.3°, d 3.391, I = 100.0; hkl 1 1 0, 2θ = 35.2°, d 2.547, I = 24.1; hkl 1 0 2, 2θ = 39.7°, d 2.272, I = 30.4; hkl 2 0 1, 2θ = 44.5°, d 2.036, I = 29.3

Structural model:
```
data_Na2H2WO6
_chemical_formula_sum 'Na2 H2 W1 O6'
_cell_length_a 5.0935
_cell_length_b 5.0935
_cell_length_c 5.3019
_cell_angle_alpha 90.00
_cell_angle_beta 90.00
_cell_angle_gamma 120.00
_symmetry_space_group_name_H-M 'P -3 m 1'
_symmetry_Int_Tables_number 164
_symmetry_space_group_name_Hall '-P 3 2"'
loop_
_atom_site_label
_atom_site_fract_x
_atom_site_fract_y
_atom_site_fract_z
Na1 0.3333 0.6667 0.3567
H1 0.3333 0.6667 0.8008
W1 0.0000 0.0000 0.0000
O1 0.1764 0.3529 0.7805
```